# 1
The following is a simulated powder X-ray diffraction pattern of Li2FePCO7. It was derived from a crystal structure in the Materials Project, relaxed with PBE+U, using Cu Ka.
Intensities are scaled so that the largest is 100.

Structure:
```
data_Li2FePCO7
_chemical_formula_sum 'Li8 Fe4 P4 C4 O28'
_cell_length_a 8.3204
_cell_length_b 6.4888
_cell_length_c 10.1680
_cell_angle_alpha 90.00
_cell_angle_beta 94.73
_cell_angle_gamma 90.00
_space_group_name_H-M_alt 'P 1 21/c 1'
_space_group_IT_number 14
loop_
_space_group_symop_operation_xyz
'x,y,z'
'-x,-y,-z'
'-x,y+1/2,-z+1/2'
'x,-y+1/2,z+1/2'
loop_
_atom_site_label
_atom_site_fract_x
_atom_site_fract_y
_atom_site_fract_z
Li1 0.0965 0.2462 0.1185
Li2 0.2747 0.0343 0.3744
Fe1 0.3299 0.7422 0.6001
P1 0.4204 0.2451 0.6393
C1 0.0399 0.7446 0.1490
O1 0.0769 0.7402 0.0258
O2 0.1022 0.2200 0.3162
O3 0.1623 0.7262 0.7367
O4 0.3044 0.0630 0.5982
O5 0.3181 0.0635 0.0964
O6 0.4201 0.7225 0.9271
O7 0.4612 0.2424 0.2915
```

Largest 12 diffraction maxima, most intense first, 5 to 70 degrees two-theta:
h k l, d (Å), intensity
0 2 0, 3.244, 100
1 0 0, 8.292, 82
1 0 2, 4.173, 65
1 0 -2, 4.491, 51
1 1 0, 5.110, 37
2 0 -2, 3.347, 35
1 1 2, 3.510, 28
1 0 -4, 2.481, 22
3 1 2, 2.207, 21
0 1 2, 3.993, 17
2 2 0, 2.558, 16
0 0 4, 2.533, 15


# 2
The following is a simulated powder X-ray diffraction pattern of Mn3CrO8. It was derived from a crystal structure in the Materials Project, relaxed with PBE+U, using Cu Ka.
Intensities are scaled so that the largest is 100.

Structure:
```
data_Mn3CrO8
_chemical_formula_sum 'Mn9 Cr3 O24'
_cell_length_a 5.8364
_cell_length_b 5.8364
_cell_length_c 14.3134
_cell_angle_alpha 90.00
_cell_angle_beta 90.00
_cell_angle_gamma 120.00
_space_group_name_H-M_alt 'R -3 m'
_space_group_IT_number 166
_space_group_name_Hall '-R 3 2"'
loop_
_atom_site_label
_atom_site_fract_x
_atom_site_fract_y
_atom_site_fract_z
Mn1 0.0000 0.5000 0.0000
Cr1 0.0000 0.0000 0.5000
O1 0.0000 0.0000 0.2658
O2 0.0414 0.5207 0.2557
```

Largest 8 diffraction maxima, most intense first, 5 to 70 degrees two-theta:
h k l, d (Å), intensity
0 0 3, 4.767, 100
0 2 4, 2.064, 48
0 2 1, 2.490, 33
2 2 0, 1.460, 25
0 2 7, 1.589, 16
2 2 3, 1.396, 13
2 0 5, 1.894, 9
0 0 6, 2.384, 9


# 3
The following is a simulated powder X-ray diffraction pattern of MgCoSiO4. It was derived from a crystal structure in the Materials Project, relaxed with PBE+U, using Cu Ka.
Intensities are scaled so that the largest is 100.

Structure:
```
data_MgCoSiO4
_chemical_formula_sum 'Mg4 Co4 Si4 O16'
_cell_length_a 10.2963
_cell_length_b 6.0915
_cell_length_c 4.8164
_cell_angle_alpha 90.00
_cell_angle_beta 90.00
_cell_angle_gamma 90.00
_space_group_name_H-M_alt 'P n m a'
_space_group_IT_number 62
loop_
_space_group_symop_operation_xyz
'x,y,z'
'-x,-y,-z'
'-x+1/2,-y,z+1/2'
'x+1/2,y,-z+1/2'
'x+1/2,-y+1/2,-z+1/2'
'-x+1/2,y+1/2,z+1/2'
'-x,y+1/2,-z'
'x,-y+1/2,z'
loop_
_atom_site_label
_atom_site_fract_x
_atom_site_fract_y
_atom_site_fract_z
Mg1 0.0000 0.0000 0.0000
Co1 0.2249 0.2500 0.4988
Si1 0.0941 0.7500 0.4270
O1 0.0531 0.2500 0.7232
O2 0.0907 0.7500 0.7657
O3 0.1616 0.5327 0.2762
```

Largest 12 diffraction maxima, most intense first, 5 to 70 degrees two-theta:
h k l, d (Å), intensity
3 1 1, 2.540, 100
1 1 1, 3.547, 96
2 2 2, 1.773, 62
1 2 1, 2.497, 50
3 0 1, 2.795, 45
0 2 0, 3.046, 35
6 2 0, 1.495, 26
3 3 1, 1.643, 25
4 0 2, 1.759, 22
0 4 0, 1.523, 21
2 2 1, 2.302, 19
1 3 1, 1.841, 16


# 4
The following is a simulated powder X-ray diffraction pattern of LiV6O13. It was derived from a crystal structure in the Materials Project, relaxed with PBE+U, using Cu Ka.
Intensities are scaled so that the largest is 100.

Structure:
```
data_LiV6O13
_chemical_formula_sum 'Li2 V12 O26'
_cell_length_a 3.7200
_cell_length_b 11.4643
_cell_length_c 12.1375
_cell_angle_alpha 110.41
_cell_angle_beta 90.17
_cell_angle_gamma 99.33
_space_group_name_H-M_alt 'P -1'
_space_group_IT_number 2
loop_
_space_group_symop_operation_xyz
'x,y,z'
'-x,-y,-z'
loop_
_atom_site_label
_atom_site_fract_x
_atom_site_fract_y
_atom_site_fract_z
Li1 0.0582 0.3700 0.2643
V1 0.1751 0.4484 0.5740
V2 0.1919 0.1280 0.2692
V3 0.2131 0.4932 0.8885
V4 0.2191 0.1453 0.9841
V5 0.2822 0.8544 0.2163
V6 0.3439 0.8966 0.5416
O1 0.0452 0.6942 0.1786
O2 0.0652 0.7105 0.4722
O3 0.1293 0.0861 0.1000
O4 0.1537 0.1026 0.8047
O5 0.1678 0.1116 0.4312
O6 0.2393 0.4938 0.4283
O7 0.2456 0.4981 0.0704
O8 0.2644 0.5037 0.7444
O9 0.3093 0.8735 0.0585
O10 0.3777 0.9184 0.3935
O11 0.3779 0.9186 0.7173
O12 0.4275 0.2850 0.3035
O13 0.4592 0.3034 0.0506
```

Largest 12 diffraction maxima, most intense first, 5 to 70 degrees two-theta:
h k l, d (Å), intensity
0 3 0, 3.527, 100
1 -2 1, 3.309, 82
-1 1 1, 3.429, 69
2 -3 0, 1.756, 55
0 1 -2, 5.956, 50
0 2 0, 5.290, 48
0 1 0, 10.581, 47
0 1 -4, 3.022, 47
0 2 -6, 2.023, 45
0 5 0, 2.116, 41
1 -4 7, 1.546, 24
0 2 2, 3.327, 24


# 5
The following is a simulated powder X-ray diffraction pattern of V3OF11. It was derived from a crystal structure in the Materials Project, relaxed with PBE+U, using Cu Ka.
Intensities are scaled so that the largest is 100.

Structure:
```
data_V3OF11
_chemical_formula_sum 'V6 O2 F22'
_cell_length_a 5.2681
_cell_length_b 5.4509
_cell_length_c 14.7328
_cell_angle_alpha 79.64
_cell_angle_beta 89.98
_cell_angle_gamma 89.91
_space_group_name_H-M_alt 'P 1'
_space_group_IT_number 1
loop_
_space_group_symop_operation_xyz
'x,y,z'
loop_
_atom_site_label
_atom_site_fract_x
_atom_site_fract_y
_atom_site_fract_z
V1 0.0000 0.0000 0.0000
V2 0.0038 0.3316 0.3349
V3 0.4923 0.1557 0.6659
V4 0.5000 0.5001 0.0000
V5 0.5088 0.8337 0.3274
V6 0.9765 0.6267 0.6698
O1 0.5823 0.8783 0.2190
O2 0.7959 0.3751 0.6893
F1 0.0825 0.2917 0.4526
F2 0.0861 0.9585 0.1178
F3 0.0922 0.6355 0.7821
F4 0.1984 0.3104 0.9752
F5 0.2070 0.6383 0.3091
F6 0.2070 0.9733 0.6433
F7 0.2876 0.4712 0.6429
F8 0.2984 0.1369 0.3093
F9 0.3017 0.8102 0.9755
F10 0.4120 0.7905 0.4495
F11 0.4136 0.4572 0.1178
F12 0.4237 0.1291 0.7848
F13 0.5875 0.5425 0.8826
F14 0.5884 0.2168 0.5489
F15 0.6986 0.1900 0.0249
F16 0.7028 0.5305 0.3595
F17 0.7106 0.8576 0.6916
F18 0.7926 0.0273 0.3599
F19 0.8017 0.6897 0.0251
F20 0.9127 0.3757 0.2179
F21 0.9135 0.0420 0.8825
F22 0.9271 0.7277 0.5502
```

Largest 12 diffraction maxima, most intense first, 5 to 70 degrees two-theta:
h k l, d (Å), intensity
1 1 -1, 3.527, 100
0 0 3, 4.831, 56
-2 2 1, 1.894, 17
2 1 2, 2.302, 11
1 1 8, 1.719, 9
0 2 1, 2.725, 9
0 0 6, 2.415, 8
1 -3 0, 1.693, 8
1 0 -6, 2.196, 7
-2 2 4, 1.761, 7
2 -2 2, 1.766, 5
1 -1 7, 1.724, 5